For TbPaAl6, a DFT-relaxed cell (GGA-PBE, Alexandria) gives the simulated XRD peak list in this record (copper Kα).
Kinematic intensities with the Lorentz-polarization factor, no thermal factor.

Atomic structure:
Cell: 6.296 6.296 4.609 Å, 90.00 90.00 120.00°
Fractional positions:
1 Tb 0.000 0.000 0.000
2 Pa 0.333 0.667 0.500
3 Al 0.373 0.186 0.500
4 Al 0.520 0.040 0.000
5 Al 0.520 0.480 0.000
6 Al 0.814 0.186 0.500
7 Al 0.814 0.627 0.500
8 Al 0.960 0.480 0.000

Principal peaks in the range 2θ from 10° to 90°, low angle first:
16.26°, d = 5.453 Å, intensity 34
25.30°, d = 3.520 Å, intensity 100
28.35°, d = 3.148 Å, intensity 48
38.36°, d = 2.347 Å, intensity 83
48.38°, d = 1.881 Å, intensity 29
48.99°, d = 1.859 Å, intensity 22